# 1
# Er2Mg2Ru
Theoretical powder diffractogram, Cu Kα. Input: the GGA-PBE geometry in the Materials Project.

Largest 10 diffraction maxima, by intensity, 10 to 90 degrees two-theta:
2θ (°)	I (rel.)
34.2	1000
37.7	529
40.5	514
26.8	321
65.9	296
38.7	246
69.9	206
54.4	183
25.7	130
66.8	115

Atomic structure:
```
Er2Mg2Ru
1.0
3.374 0.000 0.000
0.000 3.374 0.000
0.000 0.000 20.759
Er Mg Ru
4 4 2
direct
0.000 0.000 0.079
0.000 0.000 0.921
0.500 0.500 0.421
0.500 0.500 0.579
0.000 0.000 0.299
0.000 0.000 0.701
0.500 0.500 0.201
0.500 0.500 0.799
0.000 0.000 0.500
0.500 0.500 0.000
```

=====

# 2
# TiCu3P4O16
Theoretical powder diffractogram, Cu Kα. Input: the GGA-PBE geometry in the Materials Project.

Largest 10 diffraction maxima, by intensity, 10 to 90 degrees two-theta:
2θ (°)	I (rel.)
19.5	1000
29.7	858
18.0	728
19.7	499
35.9	409
35.8	331
29.1	315
24.7	279
36.4	273
25.0	262

Atomic structure:
```
TiCu3P4O16
1.0
5.087 0.000 0.000
0.000 6.018 0.000
-0.141 0.000 9.872
Ti Cu P O
1 3 4 16
direct
0.000 0.000 0.000
0.164 0.500 0.590
0.421 0.500 0.080
0.666 0.000 0.474
0.118 0.000 0.672
0.443 0.000 0.180
0.606 0.500 0.389
0.979 0.500 0.884
0.163 0.000 0.830
0.262 0.200 0.609
0.262 0.800 0.609
0.277 0.192 0.111
0.277 0.808 0.111
0.280 0.500 0.904
0.308 0.500 0.417
0.416 0.000 0.333
0.638 0.500 0.234
0.731 0.000 0.139
0.757 0.301 0.454
0.757 0.699 0.454
0.818 0.000 0.649
0.849 0.292 0.951
0.849 0.708 0.951
0.921 0.500 0.729
```

=====

# 3
# UMnSe3
Theoretical powder diffractogram, Cu Kα. Input: the GGA-PBE geometry in the Materials Project.

Largest 10 diffraction maxima, by intensity, 10 to 90 degrees two-theta:
2θ (°)	I (rel.)
35.0	1000
38.3	867
39.1	736
26.1	608
25.3	552
39.3	447
34.2	371
31.2	366
46.5	363
16.2	304

Atomic structure:
```
UMnSe3
1.0
1.953 -5.477 0.000
1.953 5.477 0.000
0.000 0.000 9.163
U Mn Se
2 2 6
direct
0.219 0.781 0.750
0.781 0.219 0.250
0.000 0.000 0.000
0.000 0.000 0.500
0.078 0.922 0.250
0.364 0.636 0.038
0.364 0.636 0.462
0.636 0.364 0.538
0.636 0.364 0.962
0.922 0.078 0.750
```